Structure and theoretical XRD peak list of Nd3PdRh2 (a cell relaxed with PBE; Cu Kα, 1.54184 Å).
Intensities are scaled so that the largest is 100.

Structural model:
Lattice parameters (Å, degrees): 11.866 4.202 11.636 90.00 90.00 90.00
Space group Pnma (No. 62)
Inequivalent atoms, fractional coordinates:
Nd  0.049  0.250  0.124 [4 per cell]
Nd  0.122  0.750  0.564 [4 per cell]
Nd  0.209  0.250  0.815 [4 per cell]
Pd  0.125  0.250  0.376 [4 per cell]
Rh  0.003  0.250  0.698 [4 per cell]
Rh  0.177  0.750  0.003 [4 per cell]

Main lines, most intense first (2θ from 10° to 90°):
hkl 3 1 2, 34.76 deg, d 2.581, I 100.0
hkl 0 1 3, 31.39 deg, d 2.850, I 82.0
hkl 2 1 2, 30.25 deg, d 2.954, I 56.5
hkl 0 2 0, 43.05 deg, d 2.101, I 55.3
hkl 4 1 1, 37.92 deg, d 2.372, I 39.7
hkl 3 0 5, 45.21 deg, d 2.006, I 35.7
hkl 2 1 4, 40.67 deg, d 2.218, I 34.1
hkl 1 0 4, 31.67 deg, d 2.825, I 27.4
hkl 4 0 2, 33.92 deg, d 2.643, I 26.4
hkl 3 0 2, 27.26 deg, d 3.271, I 25.8